Starting from the GGA+U geometry in the Materials Project, the PXRD pattern of Li4Co3O7 was computed for a wavelength of 1.5418 Å.
Kinematic intensities with the Lorentz-polarization factor, no thermal factor.

Main lines, in order of falling intensity (2θ from 10° to 90°):
2θ = 18.37°, I = 100, hkl 4 0 -1; 2θ = 43.32°, I = 59, hkl 7 1 0; 2θ = 35.88°, I = 30, hkl 3 1 1; 2θ = 44.45°, I = 26, hkl 2 0 -4; 2θ = 63.47°, I = 14, hkl 9 1 -4; 2θ = 64.14°, I = 14, hkl 5 1 4

Structural model:
Cell lengths 21.2214, 2.9407, 8.1533 Å; angles 90.00, 101.84, 90.00 degrees
Space group C2/m (No. 12)
Symmetry-distinct sites (fractional):
Li 0.0000 0.0000 0.0000 x2
Li 0.0000 0.0000 0.5000 x2
Li 0.0693 0.5000 0.2969 x4
Li 0.1423 0.0000 0.5750 x4
Li 0.2139 0.5000 0.8533 x4
Co 0.0696 0.5000 0.7732 x4
Co 0.1426 0.0000 0.0721 x4
Co 0.2112 0.5000 0.3613 x4
O 0.0060 0.0000 0.7541 x4
O 0.0718 0.5000 0.5614 x4
O 0.0747 0.5000 0.0147 x4
O 0.1380 0.0000 0.8235 x4
O 0.1429 0.0000 0.3197 x4
O 0.2108 0.5000 0.1176 x4
O 0.2178 0.5000 0.6003 x4